For Li4U3CoS8, a cell relaxed with GGA-PBE gives the calculated powder XRD pattern in this record (Cu Kα (weighted mean of Kα1 and Kα2)).

Largest 12 diffraction maxima, low angle first, 5 to 70 degrees two-theta:
two_theta, intensity, hkl
14.10, 1000, 0 0 3
14.48, 113, 1 0 1
28.00, 623, 0 2 1
29.20, 260, 2 0 2
33.62, 789, 0 2 4
36.62, 314, 2 0 5
43.76, 189, 0 2 7
47.77, 288, 2 0 8
48.79, 270, 2 2 0
51.04, 244, 2 2 3
60.56, 141, 4 0 4
67.19, 113, 2 2 9

Structural model:
Lattice parameters (Å, degrees): 7.4664 7.4664 18.8452 90.00 90.00 120.00
Space group R-3m (No. 166, hexagonal axes)
Inequivalent atoms, fractional coordinates:
Li 0.0000 0.0000 0.0000
Li 0.0000 0.5000 0.0000
U 0.0000 0.5000 0.5000
Co 0.0000 0.0000 0.5000
S 0.0000 0.0000 0.2550
S 0.0150 0.5075 0.2489


For LiScCo2, a cell relaxed with GGA-PBE gives the calculated powder XRD pattern in this record (Cu Kα (weighted mean of Kα1 and Kα2)).

Largest 12 diffraction maxima, low angle first, 5 to 70 degrees two-theta:
two_theta, intensity, hkl
25.78, 475, 1 0 1
29.74, 37, 0 0 2
29.92, 72, 1 1 0
42.69, 1000, 1 1 2
42.82, 495, 2 0 0
50.43, 70, 1 0 3
50.66, 139, 2 1 1
53.01, 25, 2 0 2
61.76, 76, 0 0 4
62.17, 149, 2 2 0
68.26, 52, 2 1 3
68.45, 26, 3 0 1

Structural model:
Lattice parameters (Å, degrees): 4.2235 4.2235 6.0080 90.00 90.00 90.00
Space group I-4m2 (No. 119)
Inequivalent atoms, fractional coordinates:
Li 0.0000 0.0000 0.0000
Sc 0.0000 0.5000 0.7500
Co 0.0000 0.0000 0.5000
Co 0.0000 0.5000 0.2500


For LiSc6Co2, a cell relaxed with GGA-PBE gives the calculated powder XRD pattern in this record (Cu Kα (weighted mean of Kα1 and Kα2)).

Largest 12 diffraction maxima, low angle first, 5 to 70 degrees two-theta:
two_theta, intensity, hkl
14.23, 1000, 1 1 0
24.42, 150, 1 2 1
34.73, 458, 2 2 2
37.10, 540, 2 1 3
37.43, 453, 1 3 2
37.96, 790, 2 3 1
38.30, 323, 3 2 1
41.55, 292, 4 0 0
42.78, 224, 3 0 3
44.05, 279, 0 2 4
64.00, 178, 2 5 3
65.36, 175, 5 3 2

Structural model:
Lattice parameters (Å, degrees): 8.6954 8.9085 9.2686 90.00 90.00 90.00
Space group Immm (No. 71)
Inequivalent atoms, fractional coordinates:
Li 0.0000 0.0000 0.0000
Li 0.0000 0.0000 0.5000
Sc 0.0000 0.2041 0.2343
Sc 0.1913 0.5000 0.1786
Sc 0.2196 0.3177 0.5000
Co 0.0000 0.3393 0.0000
Co 0.0000 0.5000 0.3788


For Li2ScCo2, a cell relaxed with GGA-PBE gives the calculated powder XRD pattern in this record (Cu Kα (weighted mean of Kα1 and Kα2)).

Largest 12 diffraction maxima, low angle first, 5 to 70 degrees two-theta:
two_theta, intensity, hkl
14.77, 1000, 0 0 2
25.97, 475, 1 0 1
33.60, 239, 1 0 3
35.45, 725, 1 1 0
38.60, 524, 1 1 2
45.38, 52, 0 0 6
45.52, 718, 1 0 5
51.01, 305, 2 0 0
53.40, 122, 2 0 2
58.11, 94, 2 1 1
59.85, 190, 1 0 7
62.47, 68, 2 1 3

Structural model:
Lattice parameters (Å, degrees): 3.5810 3.5810 11.9920 90.00 90.00 90.00
Space group I4/mmm (No. 139)
Inequivalent atoms, fractional coordinates:
Li 0.0000 0.5000 0.2500
Sc 0.0000 0.0000 0.0000
Co 0.0000 0.0000 0.4102